[1]
K7TeO2: theoretical powder X-ray diffraction pattern (CuKα), based on DFT lattice parameters and positions (PBE).
Intensities are scaled so that the largest is 100.

Atomic structure:
a = 12.877 Å, b = 12.877 Å, c = 12.877 Å
α = 157.90°, β = 157.90°, γ = 31.45°
Sites, in units of the cell vectors:
K: 0.000 0.000 0.000
K: 0.120 0.620 0.500
K: 0.250 0.750 0.500
K: 0.380 0.880 0.500
K: 0.620 0.120 0.500
K: 0.750 0.250 0.500
K: 0.880 0.380 0.500
Te: 0.500 0.500 0.000
O: 0.175 0.175 0.000
O: 0.825 0.825 0.000

Most intense lines, 2θ = 10–80°, by intensity:
2θ (°)  Rel. int.
33.61  100
26.53  94
29.37  84
36.40  82
28.81  58
47.07  54
20.96  48
63.74  26
52.43  26
59.70  24

---

[2]
K6Te2O: theoretical powder X-ray diffraction pattern (CuKα), based on DFT lattice parameters and positions (PBE).
Intensities are scaled so that the largest is 100.

Atomic structure:
a = 7.663 Å, b = 7.663 Å, c = 5.990 Å
α = 90.00°, β = 90.00°, γ = 120.00°
Sites, in units of the cell vectors:
K: 0.170 0.340 0.277
K: 0.170 0.830 0.277
K: 0.340 0.170 0.723
K: 0.660 0.830 0.277
K: 0.830 0.170 0.723
K: 0.830 0.660 0.723
Te: 0.333 0.667 0.768
Te: 0.667 0.333 0.232
O: 0.000 0.000 0.500

Most intense lines, 2θ = 10–80°, by intensity:
2θ (°)  Rel. int.
30.81  100
19.97  33
47.48  24
26.87  21
29.83  21
23.22  19
57.07  18
40.58  16
53.57  16
57.66  15

---

[3]
K2Te2O7: theoretical powder X-ray diffraction pattern (CuKα), based on DFT lattice parameters and positions (PBE).
Intensities are scaled so that the largest is 100.

Atomic structure:
a = 7.614 Å, b = 7.614 Å, c = 7.614 Å
α = 120.60°, β = 92.79°, γ = 116.25°
Sites, in units of the cell vectors:
K: 0.000 0.000 0.000
K: 0.500 0.000 0.000
K: 0.500 0.000 0.500
K: 0.500 0.500 0.500
Te: 0.000 0.000 0.500
Te: 0.000 0.500 0.000
Te: 0.000 0.500 0.500
Te: 0.500 0.500 0.000
O: 0.045 0.222 0.423
O: 0.045 0.622 0.822
O: 0.091 0.841 0.250
O: 0.282 0.701 0.582
O: 0.300 0.222 0.678
O: 0.300 0.622 0.077
O: 0.381 0.299 0.082
O: 0.619 0.701 0.918
O: 0.700 0.378 0.923
O: 0.700 0.778 0.322
O: 0.718 0.299 0.418
O: 0.909 0.159 0.750
O: 0.955 0.378 0.178
O: 0.955 0.778 0.577

Most intense lines, 2θ = 10–80°, by intensity:
2θ (°)  Rel. int.
27.95  100
29.14  92
47.89  54
13.87  53
32.54  44
16.11  38
54.60  33
56.67  29
23.42  28
27.46  21